Simulated powder diffractogram
Compound: LiNiP3O9
Radiation: copper Kα
Structure: a structure optimized by DFT (PBE+U)
Lines closer than 0.1° are merged.

Main lines, by intensity (10° ≤ 2θ ≤ 90°):
2θ = 30.9°, intensity 100, (-3 2 1)
2θ = 33.1°, intensity 80, (2 2 -2)
2θ = 11.0°, intensity 74, (1 0 0)
2θ = 10.5°, intensity 71, (0 0 1)
2θ = 11.2°, intensity 68, (0 1 0)
2θ = 24.6°, intensity 63, (-1 1 2)
2θ = 18.6°, intensity 59, (0 1 1)
2θ = 11.6°, intensity 59, (1 0 -1)
2θ = 32.5°, intensity 58, (1 -2 3)
2θ = 25.7°, intensity 51, (1 2 -1)

```
data_LiNiP3O9
_space_group_name_H-M_alt 'P -1'
_space_group_IT_number 2
_cell_length_a 9.4074
_cell_length_b 9.4581
_cell_length_c 9.7989
_cell_angle_alpha 109.13
_cell_angle_beta 105.23
_cell_angle_gamma 109.91
loop_
_space_group_symop_operation_xyz
'x,y,z'
'-x,-y,-z'
loop_
_atom_site_label
_atom_site_fract_x
_atom_site_fract_y
_atom_site_fract_z
Li1 0.0397 0.3307 0.1982
Li2 0.2419 0.7531 0.7280
Ni1 0.3375 0.9412 0.5146
Ni2 0.3933 0.1701 0.3066
P1 0.0152 0.3710 0.6285
P2 0.0496 0.8046 0.1721
P3 0.1984 0.0606 0.9116
P4 0.3341 0.4298 0.5842
P5 0.4047 0.6578 0.2859
P6 0.4758 0.8595 0.1109
O1 0.0239 0.3454 0.7830
O2 0.0504 0.5483 0.6697
O3 0.0656 0.7378 0.0222
O4 0.0945 0.1432 0.8410
O5 0.1078 0.8754 0.8043
O6 0.1478 0.7703 0.5108
O7 0.1619 0.3365 0.5948
O8 0.2110 0.9515 0.3182
O9 0.2476 0.5255 0.2595
O10 0.2546 0.1322 0.0887
O11 0.3174 0.3276 0.4220
O12 0.3533 0.1480 0.8697
O13 0.3771 0.8292 0.9516
O14 0.3832 0.7006 0.1399
O15 0.3895 0.6169 0.6458
O16 0.4517 0.3968 0.7127
O17 0.4788 0.9780 0.7408
O18 0.4814 0.8292 0.4422
```